# 1
Sm6In2Ge: calculated powder diffractogram (a wavelength of 1.5418 Å), based on a crystal structure in Alexandria, relaxed with GGA-PBE.
Lines closer than 0.1° are merged.

Top 8 peaks for 5 to 70 degrees two-theta, sorted by position:
2θ/deg, I/Imax, hkl
30.27, 100, 1 0 2
31.07, 52, 0 5 1
32.53, 55, 1 2 2
35.36, 45, 0 3 3
38.59, 24, 1 5 1
56.15, 20, 2 5 1
57.61, 31, 1 8 2
58.93, 20, 2 3 3

Crystal structure
```
data_Sm6In2Ge
_chemical_formula_sum 'Sm12 In4 Ge2'
_symmetry_space_group_name_H-M 'A m m 2'
_symmetry_Int_Tables_number 38
_cell_length_a 3.9847
_cell_length_b 15.2330
_cell_length_c 8.7902
_cell_angle_alpha 90.00
_cell_angle_beta 90.00
_cell_angle_gamma 90.00
loop_
_symmetry_equiv_pos_as_xyz
'x,y,z'
'-x,-y,z'
'-x,y,z'
'x,-y,z'
'x,y+1/2,z+1/2'
'-x,-y+1/2,z+1/2'
'-x,y+1/2,z+1/2'
'x,-y+1/2,z+1/2'
loop_
_atom_site_label
_atom_site_type_symbol
_atom_site_fract_x
_atom_site_fract_y
_atom_site_fract_z
Sm1 Sm 0.0000 0.0000 0.0000
Sm2 Sm 0.0000 0.1284 0.6127
Sm3 Sm 0.5000 0.0000 0.3495
Sm4 Sm 0.5000 0.1958 0.9373
In1 In 0.0000 0.1669 0.2414
Ge1 Ge 0.5000 0.0000 0.7425
```

# 2
SmInGe: calculated powder diffractogram (a wavelength of 1.5418 Å), based on a crystal structure in Alexandria, relaxed with GGA-PBE.
Lines closer than 0.1° are merged.

Top 8 peaks for 5 to 70 degrees two-theta, sorted by position:
2θ/deg, I/Imax, hkl
24.53, 12, 0 2 1
32.04, 22, 0 6 0
33.42, 15, 1 5 0
34.00, 100, 1 3 1
40.38, 17, 2 0 0
45.03, 12, 0 0 2
52.45, 11, 2 6 0
69.35, 12, 3 3 1

Crystal structure
```
data_SmInGe
_chemical_formula_sum 'Sm4 In4 Ge4'
_symmetry_space_group_name_H-M 'C m c m'
_symmetry_Int_Tables_number 63
_symmetry_space_group_name_Hall '-C 2c 2'
_cell_length_a 4.4677
_cell_length_b 16.7612
_cell_length_c 4.0264
_cell_angle_alpha 90.00
_cell_angle_beta 90.00
_cell_angle_gamma 90.00
loop_
_atom_site_label
_atom_site_type_symbol
_atom_site_fract_x
_atom_site_fract_y
_atom_site_fract_z
Sm1 Sm 0.0000 0.0897 0.2500
In1 In 0.0000 0.2622 0.7500
Ge1 Ge 0.0000 0.4452 0.2500
```

# 3
Sm5InGe2: calculated powder diffractogram (a wavelength of 1.5418 Å), based on a crystal structure in Alexandria, relaxed with GGA-PBE.
Lines closer than 0.1° are merged.

Top 8 peaks for 5 to 70 degrees two-theta, sorted by position:
2θ/deg, I/Imax, hkl
25.79, 19, 2 1 1
29.57, 27, 1 1 4
31.34, 100, 2 1 3
33.67, 42, 2 0 4
35.67, 58, 3 1 0
51.02, 26, 0 0 8
55.28, 20, 3 3 4
63.79, 16, 3 1 8

Crystal structure
```
data_Sm5InGe2
_chemical_formula_sum 'Sm20 In4 Ge8'
_symmetry_space_group_name_H-M 'I 4/m c m'
_symmetry_Int_Tables_number 140
_symmetry_space_group_name_Hall '-I 4 2c'
_cell_length_a 7.9593
_cell_length_b 7.9593
_cell_length_c 14.3247
_cell_angle_alpha 90.00
_cell_angle_beta 90.00
_cell_angle_gamma 90.00
loop_
_atom_site_label
_atom_site_type_symbol
_atom_site_fract_x
_atom_site_fract_y
_atom_site_fract_z
Sm1 Sm 0.0000 0.0000 0.0000
Sm2 Sm 0.1653 0.3347 0.1403
In1 In 0.0000 0.0000 0.2500
Ge1 Ge 0.1366 0.3634 0.5000
```

# 4
In2SnGe2: calculated powder diffractogram (a wavelength of 1.5418 Å), based on a crystal structure in Alexandria, relaxed with GGA-PBE.
Lines closer than 0.1° are merged.

Top 8 peaks for 5 to 70 degrees two-theta, sorted by position:
2θ/deg, I/Imax, hkl
28.76, 21, 1 0 3
31.72, 100, 1 1 2
39.89, 17, 1 1 4
40.05, 24, 1 0 5
40.81, 39, 2 0 0
58.51, 16, 2 1 5
59.09, 13, 2 2 0
68.63, 21, 3 1 2

Crystal structure
```
data_In2SnGe2
_chemical_formula_sum 'In4 Sn2 Ge4'
_symmetry_space_group_name_H-M 'I 4/m m m'
_symmetry_Int_Tables_number 139
_symmetry_space_group_name_Hall '-I 4 2'
_cell_length_a 4.4222
_cell_length_b 4.4222
_cell_length_c 13.0775
_cell_angle_alpha 90.00
_cell_angle_beta 90.00
_cell_angle_gamma 90.00
loop_
_atom_site_label
_atom_site_type_symbol
_atom_site_fract_x
_atom_site_fract_y
_atom_site_fract_z
In1 In 0.0000 0.5000 0.2500
Sn1 Sn 0.0000 0.0000 0.0000
Ge1 Ge 0.0000 0.0000 0.4019
```

# 5
SrIn3Ge3: calculated powder diffractogram (a wavelength of 1.5418 Å), based on a crystal structure in Alexandria, relaxed with GGA-PBE.
Lines closer than 0.1° are merged.

Top 8 peaks for 5 to 70 degrees two-theta, sorted by position:
2θ/deg, I/Imax, hkl
16.52, 26, 1 1 0
23.44, 42, 2 0 0
28.81, 100, 2 1 1
41.20, 38, 2 2 2
44.67, 59, 3 2 1
47.94, 34, 4 0 0
54.03, 17, 4 2 0
67.60, 17, 5 2 1

Crystal structure
```
data_SrIn3Ge3
_chemical_formula_sum 'Sr2 In6 Ge6'
_symmetry_space_group_name_H-M 'P m -3 n'
_symmetry_Int_Tables_number 223
_symmetry_space_group_name_Hall '-P 4n 2 3'
_cell_length_a 7.5906
_cell_length_b 7.5906
_cell_length_c 7.5906
_cell_angle_alpha 90.00
_cell_angle_beta 90.00
_cell_angle_gamma 90.00
loop_
_atom_site_label
_atom_site_type_symbol
_atom_site_fract_x
_atom_site_fract_y
_atom_site_fract_z
Sr1 Sr 0.0000 0.0000 0.0000
In1 In 0.0000 0.2500 0.5000
Ge1 Ge 0.0000 0.5000 0.2500
```

# 6
InGe3Te4: calculated powder diffractogram (a wavelength of 1.5418 Å), based on a crystal structure in Alexandria, relaxed with GGA-PBE.
Lines closer than 0.1° are merged.

Top 8 peaks for 5 to 70 degrees two-theta, sorted by position:
2θ/deg, I/Imax, hkl
17.77, 44, 0 2 0
21.90, 100, 2 1 0
28.72, 89, 0 0 2
33.65, 100, 2 3 0
36.41, 50, 2 1 2
40.63, 30, 4 0 0
44.81, 84, 2 3 2
50.51, 30, 4 0 2

Crystal structure
```
data_InGe3Te4
_chemical_formula_sum 'In2 Ge6 Te8'
_symmetry_space_group_name_H-M 'P m n 21'
_symmetry_Int_Tables_number 31
_cell_length_a 8.8818
_cell_length_b 9.9853
_cell_length_c 6.2164
_cell_angle_alpha 90.00
_cell_angle_beta 90.00
_cell_angle_gamma 90.00
loop_
_symmetry_equiv_pos_as_xyz
'x,y,z'
'-x+1/2,-y,z+1/2'
'-x,y,z'
'x+1/2,-y,z+1/2'
loop_
_atom_site_label
_atom_site_type_symbol
_atom_site_fract_x
_atom_site_fract_y
_atom_site_fract_z
In1 In 0.0000 0.1777 0.0000
Ge1 Ge 0.0000 0.8405 0.5039
Ge2 Ge 0.2372 0.6629 0.0077
Te1 Te 0.0000 0.1788 0.4890
Te2 Te 0.0000 0.8647 0.9610
Te3 Te 0.2232 0.6455 0.4655
```